Structure and calculated XRD peak list of Na2ErPWO8 (DFT lattice parameters and positions (PBE+U); Cu Ka).
Kinematic intensities with the Lorentz-polarization factor, no thermal factor.

Structure:
Lattice parameters (Å, degrees): 11.503 11.503 11.503 145.06 116.09 74.96
Element x y z (fractional)
Na1 0.102 0.656 0.448
Na2 0.208 0.156 0.054
Na3 0.292 0.346 0.948
Na4 0.398 0.846 0.554
Na5 0.602 0.154 0.446
Na6 0.708 0.654 0.052
Na7 0.792 0.844 0.946
Na8 0.898 0.344 0.552
Er1 0.178 0.750 0.928
Er2 0.322 0.250 0.572
Er3 0.678 0.750 0.428
Er4 0.822 0.250 0.072
P1 0.069 0.250 0.319
P2 0.431 0.750 0.181
P3 0.569 0.250 0.819
P4 0.931 0.750 0.681
W1 0.073 0.823 0.250
W2 0.427 0.677 0.750
W3 0.573 0.323 0.250
W4 0.927 0.177 0.750
O1 0.061 0.326 0.251
O2 0.075 0.826 0.766
O3 0.102 0.187 0.828
O4 0.105 0.667 0.011
O5 0.141 0.726 0.328
O6 0.142 0.419 0.575
O7 0.155 0.081 0.223
O8 0.156 0.094 0.489
O9 0.344 0.833 0.938
O10 0.345 0.568 0.925
O11 0.358 0.932 0.277
O12 0.359 0.687 0.585
O13 0.395 0.406 0.562
O14 0.398 0.226 0.085
O15 0.425 0.191 0.751
O16 0.439 0.691 0.266
O17 0.561 0.309 0.734
O18 0.575 0.809 0.249
O19 0.602 0.774 0.915
O20 0.605 0.594 0.438
O21 0.641 0.313 0.415
O22 0.642 0.068 0.723
O23 0.655 0.432 0.075
O24 0.656 0.167 0.062
O25 0.844 0.906 0.511
O26 0.845 0.919 0.777
O27 0.858 0.581 0.425
O28 0.859 0.274 0.672
O29 0.895 0.333 0.989
O30 0.898 0.813 0.172
O31 0.925 0.174 0.234
O32 0.939 0.674 0.749

Peak list (10 most intense, 15° ≤ 2θ ≤ 90°, sorted by position)
17.67 deg, d = 5.018 Å, intensity 89.9
24.49 deg, d = 3.634 Å, intensity 66.2
27.29 deg, d = 3.267 Å, intensity 55.6
27.62 deg, d = 3.230 Å, intensity 100.0
29.35 deg, d = 3.043 Å, intensity 55.6
32.23 deg, d = 2.777 Å, intensity 37.6
32.51 deg, d = 2.754 Å, intensity 58.0
32.92 deg, d = 2.721 Å, intensity 35.4
35.44 deg, d = 2.533 Å, intensity 37.6
49.93 deg, d = 1.826 Å, intensity 45.6